The following is a theoretical powder XRD pattern of Sr7CaMn3Fe5O24. It was derived from DFT lattice parameters and positions (GGA+U), using Cu Ka.
Lines closer than 0.1° are merged.

Peak list (8 most intense, 2θ = 15–90°, in order of falling intensity)
2θ/deg, d/Å, intensity
32.5, 2.759, 100
46.6, 1.950, 47
57.9, 1.593, 31
32.5, 2.753, 20
68.0, 1.379, 17
77.4, 1.233, 16
58.0, 1.590, 15
40.0, 2.252, 15

Crystal structure
```
Sr7CaMn3Fe5O24
1.0
5.5234 -5.5067 0.0000
5.5234 5.5067 0.0000
-0.0012 0.0000 7.8007
Sr Ca Mn Fe O
7 1 3 5 24
Direct
0.0000 0.0000 0.0000
0.9998 0.4995 0.0006
0.0015 0.0015 0.5011
0.4964 0.4964 0.0004
0.4995 0.9998 0.0006
0.5002 0.9985 0.5013
0.9985 0.5002 0.5013
0.4989 0.4989 0.5031
0.2499 0.7485 0.7498
0.7485 0.2499 0.7498
0.7480 0.7480 0.7498
0.2499 0.2499 0.2515
0.2498 0.2498 0.7499
0.2496 0.7484 0.2517
0.7484 0.2496 0.2517
0.7481 0.7481 0.2520
0.9998 0.2500 0.2579
0.2280 0.7422 0.5035
0.2436 0.2436 0.0029
0.2500 0.9998 0.2579
0.2503 0.4984 0.2453
0.2501 0.9958 0.7439
0.2506 0.5021 0.7553
0.2601 0.2601 0.4985
0.2707 0.7552 0.9976
0.4984 0.2503 0.2453
0.4989 0.7423 0.7188
0.4994 0.7438 0.2758
0.5021 0.2506 0.7553
0.7276 0.7276 0.9970
0.7422 0.2280 0.5035
0.7423 0.4989 0.7188
0.7438 0.4994 0.2758
0.7472 0.9981 0.2318
0.7466 0.9980 0.7747
0.7552 0.2707 0.9976
0.7713 0.7713 0.5043
0.9958 0.2501 0.7439
0.9981 0.7472 0.2318
0.9980 0.7466 0.7747
```